# CrPb2Cl2
Simulated powder diffractogram, Cu Ka. Input: a GGA-PBE-relaxed structure.
Intensities are scaled so that the largest is 1000.

Largest 10 diffraction maxima, most intense first, 2θ = 10–90°:
d (Å)  I_rel
4.937  1000
3.927  935
2.862  750
3.073  689
2.420  639
2.777  528
1.777  456
2.090  357
2.469  343
1.845  321

Crystal structure
a b c (Å): 7.8543 7.8543 4.9372
angles (deg): 90.00 90.00 90.00
Positions (direct):
Cr (0.0000, 0.0000, 0.0000)
Cr (0.5000, 0.5000, 0.0000)
Pb (0.2144, 0.2856, 0.0000)
Pb (0.2856, 0.7856, 0.0000)
Pb (0.7144, 0.2144, 0.0000)
Pb (0.7856, 0.7144, 0.0000)
Cl (0.1590, 0.6590, 0.5000)
Cl (0.3410, 0.1590, 0.5000)
Cl (0.6590, 0.8410, 0.5000)
Cl (0.8410, 0.3410, 0.5000)

***

# CrPt2Cl
Simulated powder diffractogram, Cu Ka. Input: a GGA-PBE-relaxed structure.
Intensities are scaled so that the largest is 1000.

Largest 10 diffraction maxima, most intense first, 2θ = 10–90°:
d (Å)  I_rel
6.291  1000
2.453  407
2.168  250
2.793  242
2.036  231
2.006  221
2.014  205
2.727  196
1.817  179
1.397  152

Crystal structure
a b c (Å): 4.6322 4.6322 6.3928
angles (deg): 99.75 99.75 36.14
Positions (direct):
Cr (0.0000, 0.0000, 0.0000)
Pt (0.4910, 0.4910, 0.3313)
Pt (0.7402, 0.7402, 0.1398)
Cl (0.4269, 0.4269, 0.7131)

***

# RbCrCl3
Simulated powder diffractogram, Cu Ka. Input: a GGA-PBE-relaxed structure.
Intensities are scaled so that the largest is 1000.

Largest 10 diffraction maxima, most intense first, 2θ = 10–90°:
d (Å)  I_rel
7.716  1000
3.701  810
3.116  734
2.989  468
8.000  331
2.342  294
2.707  292
2.177  286
2.578  277
2.599  236

Crystal structure
a b c (Å): 8.9216 8.9216 10.1810
angles (deg): 111.67 111.67 28.24
Positions (direct):
Rb (0.1075, 0.1075, 0.4532)
Rb (0.8925, 0.8925, 0.5468)
Cr (0.3092, 0.3092, 0.1507)
Cr (0.6908, 0.6908, 0.8493)
Cl (0.1706, 0.1706, 0.9687)
Cl (0.2586, 0.2586, 0.3362)
Cl (0.4486, 0.4486, 0.3097)
Cl (0.5514, 0.5514, 0.6903)
Cl (0.7414, 0.7414, 0.6638)
Cl (0.8294, 0.8294, 0.0313)

***

# RbCrCl3
Simulated powder diffractogram, Cu Ka. Input: a GGA-PBE-relaxed structure.
Intensities are scaled so that the largest is 1000.

Largest 10 diffraction maxima, most intense first, 2θ = 10–90°:
d (Å)  I_rel
4.325  1000
3.443  372
2.234  339
2.608  259
2.312  237
3.869  237
1.442  215
1.887  200
2.884  185
1.766  181

Crystal structure
a b c (Å): 8.7713 8.7713 8.7713
angles (deg): 52.35 52.35 52.35
Positions (direct):
Rb (0.0000, 0.0000, 0.0000)
Rb (0.5000, 0.5000, 0.5000)
Cr (0.2500, 0.2500, 0.2500)
Cr (0.7500, 0.7500, 0.7500)
Cl (0.0436, 0.7500, 0.4564)
Cl (0.2500, 0.5436, 0.9564)
Cl (0.4564, 0.0436, 0.7500)
Cl (0.5436, 0.9564, 0.2500)
Cl (0.7500, 0.4564, 0.0436)
Cl (0.9564, 0.2500, 0.5436)

***

# RbCrCl5
Simulated powder diffractogram, Cu Ka. Input: a GGA-PBE-relaxed structure.
Intensities are scaled so that the largest is 1000.

Largest 10 diffraction maxima, most intense first, 2θ = 10–90°:
d (Å)  I_rel
2.410  1000
4.286  868
3.773  665
4.202  625
5.698  578
3.502  423
2.712  413
2.362  409
2.913  394
6.851  370

Crystal structure
a b c (Å): 8.4405 8.4405 8.5730
angles (deg): 120.49 120.49 84.93
Positions (direct):
Rb (0.1299, 0.8701, 0.7500)
Rb (0.8701, 0.1299, 0.2500)
Cr (0.0000, 0.5000, 0.0000)
Cr (0.5000, 0.0000, 0.5000)
Cl (0.0017, 0.4996, 0.7313)
Cl (0.1718, 0.8282, 0.2500)
Cl (0.2599, 0.3879, 0.0753)
Cl (0.3879, 0.2599, 0.5753)
Cl (0.4996, 0.0017, 0.2313)
Cl (0.5004, 0.9983, 0.7687)
Cl (0.6121, 0.7401, 0.4247)
Cl (0.7401, 0.6121, 0.9247)
Cl (0.8282, 0.1718, 0.7500)
Cl (0.9983, 0.5004, 0.2687)

***

# RbCrCl3
Simulated powder diffractogram, Cu Ka. Input: a GGA-PBE-relaxed structure.
Intensities are scaled so that the largest is 1000.

Largest 10 diffraction maxima, most intense first, 2θ = 10–90°:
d (Å)  I_rel
3.569  1000
2.738  809
2.821  778
2.873  528
6.181  512
2.787  470
1.786  451
4.520  403
2.260  394
2.705  393

Crystal structure
a b c (Å): 7.1613 7.1613 6.3873
angles (deg): 93.81 93.81 59.64
Positions (direct):
Rb (0.1666, 0.1666, 0.2354)
Rb (0.8334, 0.8334, 0.7646)
Cr (0.5000, 0.5000, 0.0000)
Cr (0.5000, 0.5000, 0.5000)
Cl (0.1875, 0.6571, 0.2129)
Cl (0.3367, 0.3367, 0.6703)
Cl (0.3429, 0.8125, 0.7871)
Cl (0.6571, 0.1875, 0.2129)
Cl (0.6633, 0.6633, 0.3297)
Cl (0.8125, 0.3429, 0.7871)

***

# RbCrCl3
Simulated powder diffractogram, Cu Ka. Input: a GGA-PBE-relaxed structure.
Intensities are scaled so that the largest is 1000.

Largest 10 diffraction maxima, most intense first, 2θ = 10–90°:
d (Å)  I_rel
3.983  1000
2.478  999
3.107  616
5.218  598
3.453  532
1.993  471
2.081  424
2.609  402
2.961  281
1.584  238

Crystal structure
a b c (Å): 8.1602 8.1602 8.1602
angles (deg): 50.06 50.06 50.06
Positions (direct):
Rb (0.1392, 0.1392, 0.1392)
Rb (0.8608, 0.8608, 0.8608)
Cr (0.3353, 0.3353, 0.3353)
Cr (0.6647, 0.6647, 0.6647)
Cl (0.0627, 0.6667, 0.4712)
Cl (0.3333, 0.5288, 0.9373)
Cl (0.4712, 0.0627, 0.6667)
Cl (0.5288, 0.9373, 0.3333)
Cl (0.6667, 0.4712, 0.0627)
Cl (0.9373, 0.3333, 0.5288)

***

# RbCrSbCl6
Simulated powder diffractogram, Cu Ka. Input: a GGA-PBE-relaxed structure.
Intensities are scaled so that the largest is 1000.

Largest 10 diffraction maxima, most intense first, 2θ = 10–90°:
d (Å)  I_rel
2.449  1000
4.561  958
4.740  955
7.204  840
4.518  797
2.588  494
2.011  463
2.518  365
3.229  332
2.223  296

Crystal structure
a b c (Å): 6.8575 6.8661 7.2160
angles (deg): 91.62 91.71 118.35
Positions (direct):
Rb (0.0000, 0.0000, 0.0000)
Cr (0.3241, 0.6754, 0.4998)
Sb (0.6604, 0.3388, 0.4996)
Cl (0.0082, 0.6465, 0.3181)
Cl (0.3467, 0.4131, 0.2912)
Cl (0.3529, 0.9905, 0.6815)
Cl (0.5880, 0.6535, 0.7077)
Cl (0.6278, 0.0315, 0.2755)
Cl (0.9693, 0.3707, 0.7226)

***

# RbSr2CrCl8
Simulated powder diffractogram, Cu Ka. Input: a GGA-PBE-relaxed structure.
Intensities are scaled so that the largest is 1000.

Largest 10 diffraction maxima, most intense first, 2θ = 10–90°:
d (Å)  I_rel
4.567  1000
4.524  959
3.671  881
2.420  800
2.407  764
3.201  416
1.945  395
2.434  363
2.010  328
3.688  301

Crystal structure
a b c (Å): 6.3830 6.4739 8.9745
angles (deg): 89.97 89.92 89.45
Positions (direct):
Rb (0.0000, 0.0000, 0.0000)
Sr (0.4996, 0.4998, 0.2583)
Sr (0.5004, 0.5002, 0.7417)
Cr (0.0000, 0.0000, 0.5000)
Cl (0.2130, 0.8491, 0.6868)
Cl (0.2141, 0.8503, 0.3129)
Cl (0.2289, 0.2996, 0.5005)
Cl (0.2634, 0.3944, 0.0001)
Cl (0.7366, 0.6056, 0.9999)
Cl (0.7711, 0.7004, 0.4995)
Cl (0.7859, 0.1497, 0.6871)
Cl (0.7870, 0.1509, 0.3132)

***

# RbTbCr2Cl8
Simulated powder diffractogram, Cu Ka. Input: a GGA-PBE-relaxed structure.
Intensities are scaled so that the largest is 1000.

Largest 10 diffraction maxima, most intense first, 2θ = 10–90°:
d (Å)  I_rel
5.012  1000
3.864  703
5.548  496
4.122  376
5.915  358
3.065  337
3.032  329
3.098  291
2.752  278
2.935  272

Crystal structure
a b c (Å): 6.6976 6.8814 9.1481
angles (deg): 110.30 93.91 110.54
Positions (direct):
Rb (0.0000, 0.0000, 0.0000)
Tb (0.0000, 0.5000, 0.5000)
Cr (0.4291, 0.3177, 0.7943)
Cr (0.5709, 0.6823, 0.2057)
Cl (0.1627, 0.5390, 0.2501)
Cl (0.2694, 0.3098, 0.5523)
Cl (0.2967, 0.9144, 0.6891)
Cl (0.4580, 0.6870, 0.9535)
Cl (0.5420, 0.3130, 0.0465)
Cl (0.7033, 0.0856, 0.3109)
Cl (0.7306, 0.6902, 0.4477)
Cl (0.8373, 0.4610, 0.7499)

***

# Rb2ZnCrCl6
Simulated powder diffractogram, Cu Ka. Input: a GGA-PBE-relaxed structure.
Intensities are scaled so that the largest is 1000.

Largest 10 diffraction maxima, most intense first, 2θ = 10–90°:
d (Å)  I_rel
2.605  1000
3.426  817
2.862  693
1.713  507
3.684  490
2.074  404
2.273  329
1.842  325
1.431  268
1.549  178

Crystal structure
a b c (Å): 6.9149 6.9149 6.9149
angles (deg): 115.62 115.62 97.77
Positions (direct):
Rb (0.2500, 0.7500, 0.5000)
Rb (0.7500, 0.2500, 0.5000)
Zn (0.0000, 0.0000, 0.0000)
Cr (0.5000, 0.5000, 0.0000)
Cl (0.2436, 0.2436, 0.0000)
Cl (0.2584, 0.2584, 0.5168)
Cl (0.2584, 0.7416, 0.0000)
Cl (0.7416, 0.2584, 0.0000)
Cl (0.7416, 0.7416, 0.4832)
Cl (0.7564, 0.7564, 0.0000)

***

# CrRh4Cl
Simulated powder diffractogram, Cu Ka. Input: a GGA-PBE-relaxed structure.
Intensities are scaled so that the largest is 1000.

Largest 10 diffraction maxima, most intense first, 2θ = 10–90°:
d (Å)  I_rel
2.213  1000
2.119  698
4.237  550
1.412  299
1.297  293
1.106  256
1.835  213
1.684  131
1.119  106
1.241  95

Crystal structure
a b c (Å): 5.1897 5.1897 5.1897
angles (deg): 60.00 60.00 60.00
Positions (direct):
Cr (0.0000, 0.0000, 0.0000)
Rh (0.1244, 0.6252, 0.6252)
Rh (0.6252, 0.1244, 0.6252)
Rh (0.6252, 0.6252, 0.1244)
Rh (0.6252, 0.6252, 0.6252)
Cl (0.2500, 0.2500, 0.2500)

***

# CrSCl
Simulated powder diffractogram, Cu Ka. Input: a GGA-PBE-relaxed structure.
Intensities are scaled so that the largest is 1000.

Largest 10 diffraction maxima, most intense first, 2θ = 10–90°:
d (Å)  I_rel
6.480  1000
2.550  498
2.521  247
1.720  213
1.875  150
2.041  145
2.950  120
1.899  74
2.937  73
1.421  68

Crystal structure
a b c (Å): 3.4410 3.4410 6.7460
angles (deg): 103.92 103.92 60.01
Positions (direct):
Cr (0.0000, 0.0000, 0.0000)
S (0.7260, 0.7260, 0.1888)
Cl (0.2602, 0.2602, 0.7674)

***

# TlCrSbCl6
Simulated powder diffractogram, Cu Ka. Input: a GGA-PBE-relaxed structure.
Intensities are scaled so that the largest is 1000.

Largest 10 diffraction maxima, most intense first, 2θ = 10–90°:
d (Å)  I_rel
4.680  1000
4.488  994
4.443  853
2.404  725
3.414  369
2.006  348
2.477  344
2.552  338
2.817  275
3.506  242

Crystal structure
a b c (Å): 6.8297 6.8394 6.9885
angles (deg): 91.76 91.85 118.14
Positions (direct):
Tl (0.0000, 0.0000, 0.0000)
Cr (0.3318, 0.6679, 0.4998)
Sb (0.6694, 0.3299, 0.4998)
Cl (0.0144, 0.6377, 0.3125)
Cl (0.3529, 0.4017, 0.2854)
Cl (0.3614, 0.9842, 0.6871)
Cl (0.5996, 0.6478, 0.7136)
Cl (0.6385, 0.0193, 0.2695)
Cl (0.9815, 0.3600, 0.7288)